Entry 1:
The following is a calculated X-ray powder pattern of PrY2Tm12. It was derived from a cell relaxed with PBE, using Cu Kα (λ = 1.5418 Å).
No peak broadening, texture or thermal motion is included.

Principal peaks in the range 10 to 80 degrees two-theta, in order of falling intensity:
(hkl)  2θ/deg  I_rel
0 4 0  32.55  100
0 2 7  30.72  63
2 2 -4  32.79  62
2 2 2  31.45  40
0 2 8  34.03  29
2 2 1  30.53  28
2 2 5  36.53  26
2 2 13  60.67  26
2 4 -6  46.70  25
4 4 -1  62.36  21

Cell and atoms:
Unit cell a=7.0833 b=11.0041 c=24.0694 alpha=90.00 beta=94.18 gamma=90.00
Space group C2/m (No. 12)
Inequivalent atoms, fractional coordinates:
1 Pr 0.2500 0.0000 0.0002 (multiplicity 4)
2 Y 0.0669 0.0000 0.2732 (multiplicity 4)
3 Y 0.0673 0.5000 0.2732 (multiplicity 4)
4 Tm 0.0181 0.2500 0.0767 (multiplicity 8)
5 Tm 0.1117 0.2501 0.4458 (multiplicity 8)
6 Tm 0.1431 0.0000 0.5733 (multiplicity 4)
7 Tm 0.1432 0.5000 0.5731 (multiplicity 4)
8 Tm 0.1673 0.2502 0.6676 (multiplicity 8)
9 Tm 0.2011 0.2496 0.7969 (multiplicity 8)
10 Tm 0.2163 0.0000 0.8612 (multiplicity 4)
11 Tm 0.2162 0.5000 0.8608 (multiplicity 4)



Entry 2:
The following is a calculated X-ray powder pattern of Pr3Y4Tm2. It was derived from a cell relaxed with PBE, using Cu Kα (λ = 1.5418 Å).
No peak broadening, texture or thermal motion is included.

Principal peaks in the range 10 to 80 degrees two-theta, in order of falling intensity:
(hkl)  2θ/deg  I_rel
0 4 0  30.39  100
4 2 1  31.68  89
5 1 -1  29.91  52
5 3 -1  37.05  31
1 3 -2  37.46  27
6 2 -3  55.03  27
4 6 1  54.80  16
1 5 -2  48.97  13
9 1 0  50.08  12
3 1 3  51.05  11

Cell and atoms:
Unit cell a=16.7448 b=11.7696 c=6.0783 alpha=90.00 beta=97.77 gamma=90.00
Space group C2/c (No. 15)
Inequivalent atoms, fractional coordinates:
1 Pr 0.0000 0.1041 0.2500 (multiplicity 4)
2 Pr 0.1674 0.3886 0.0819 (multiplicity 8)
3 Y 0.0507 0.3681 0.5207 (multiplicity 8)
4 Y 0.2154 0.1252 0.3601 (multiplicity 8)
5 Tm 0.1135 0.1347 0.8150 (multiplicity 8)



Entry 3:
The following is a calculated X-ray powder pattern of Pr5Y12Tm. It was derived from a cell relaxed with PBE, using Cu Kα (λ = 1.5418 Å).
No peak broadening, texture or thermal motion is included.

Principal peaks in the range 10 to 80 degrees two-theta, in order of falling intensity:
(hkl)  2θ/deg  I_rel
3 3 1  30.34  100
6 0 0  35.18  50
9 3 1  60.15  41
6 6 0  50.60  35
6 6 2  63.12  12
2 0 0  11.57  6
1 3 1  25.35  4
0 0 4  74.33  4
12 0 0  74.45  2
2 0 2  37.14  2

Cell and atoms:
Unit cell a=15.2924 b=15.3147 c=5.1044 alpha=90.00 beta=90.00 gamma=90.00
Space group Cmmm (No. 65)
Inequivalent atoms, fractional coordinates:
1 Pr 0.0000 0.0000 0.0000 (multiplicity 2)
2 Pr 0.0000 0.1672 0.5000 (multiplicity 4)
3 Pr 0.0000 0.3354 0.0000 (multiplicity 4)
4 Y 0.1669 0.3347 0.5000 (multiplicity 8)
5 Y 0.1666 0.5000 0.0000 (multiplicity 4)
6 Y 0.1681 0.0000 0.5000 (multiplicity 4)
7 Y 0.1683 0.1673 0.0000 (multiplicity 8)
8 Tm 0.0000 0.5000 0.5000 (multiplicity 2)



Entry 4:
The following is a calculated X-ray powder pattern of Pr2Y5Tm4. It was derived from a cell relaxed with PBE, using Cu Kα (λ = 1.5418 Å).
No peak broadening, texture or thermal motion is included.

Principal peaks in the range 10 to 80 degrees two-theta, in order of falling intensity:
(hkl)  2θ/deg  I_rel
0 3 -1  31.67  100
-1 2 1  31.02  98
0 1 -4  31.47  96
0 2 3  32.36  92
1 1 -2  32.85  88
1 0 2  30.17  74
0 1 0  10.35  43
0 5 2  57.40  43
-1 1 5  47.22  38
1 -1 2  29.71  31

Cell and atoms:
Unit cell a=3.5430 b=8.7623 c=11.7431 alpha=94.77 beta=90.03 gamma=101.65
Space group P-1 (No. 2)
Inequivalent atoms, fractional coordinates:
1 Pr 0.1367 0.2741 0.3141 (multiplicity 2)
2 Y 0.0000 0.0000 0.5000 (multiplicity 1)
3 Y 0.0924 0.1866 0.0443 (multiplicity 2)
4 Y 0.4566 0.9125 0.2167 (multiplicity 2)
5 Tm 0.2321 0.4624 0.8532 (multiplicity 2)
6 Tm 0.3203 0.6415 0.4264 (multiplicity 2)



Entry 5:
The following is a calculated X-ray powder pattern of Pr4YTm5. It was derived from a cell relaxed with PBE, using Cu Kα (λ = 1.5418 Å).
No peak broadening, texture or thermal motion is included.

Principal peaks in the range 10 to 80 degrees two-theta, in order of falling intensity:
(hkl)  2θ/deg  I_rel
1 0 5  30.53  100
1 1 0  35.16  34
2 1 5  60.23  29
1 1 10  51.09  24
0 0 10  35.86  16
1 0 15  61.16  14
2 0 0  50.57  12
2 0 10  63.54  12
2 2 0  74.32  4
0 0 20  76.00  2

Cell and atoms:
Unit cell a=3.6098 b=3.6098 c=25.0441 alpha=90.00 beta=90.00 gamma=90.00
Space group P4/mmm (No. 123)
Inequivalent atoms, fractional coordinates:
1 Pr 0.0000 0.0000 0.1004 (multiplicity 2)
2 Pr 0.0000 0.0000 0.3012 (multiplicity 2)
3 Y 0.0000 0.0000 0.5000 (multiplicity 1)
4 Tm 0.5000 0.5000 0.0000 (multiplicity 1)
5 Tm 0.5000 0.5000 0.2012 (multiplicity 2)
6 Tm 0.5000 0.5000 0.4023 (multiplicity 2)



Entry 6:
The following is a calculated X-ray powder pattern of PrY12Tm5. It was derived from a cell relaxed with PBE, using Cu Kα (λ = 1.5418 Å).
No peak broadening, texture or thermal motion is included.

Principal peaks in the range 10 to 80 degrees two-theta, in order of falling intensity:
(hkl)  2θ/deg  I_rel
2 0 2  32.09  100
1 3 3  33.76  85
0 0 6  31.01  70
3 3 5  61.09  59
0 6 0  51.22  50
2 0 1  30.18  48
2 0 -2  29.73  42
0 0 2  10.23  37
1 3 4  36.78  28
2 0 4  37.91  22

Cell and atoms:
Unit cell a=6.1784 b=10.7022 c=17.4236 alpha=90.00 beta=96.79 gamma=90.00
Space group C2/m (No. 12)
Inequivalent atoms, fractional coordinates:
1 Pr 0.0000 0.0000 0.0000 (multiplicity 2)
2 Y 0.1116 0.0000 0.3340 (multiplicity 4)
3 Y 0.1118 0.3334 0.3342 (multiplicity 8)
4 Y 0.2204 0.5000 0.1669 (multiplicity 4)
5 Y 0.2228 0.1675 0.1669 (multiplicity 8)
6 Tm 0.0000 0.1664 0.5000 (multiplicity 4)
7 Tm 0.0000 0.3333 0.0000 (multiplicity 4)
8 Tm 0.0000 0.5000 0.5000 (multiplicity 2)



Entry 7:
The following is a calculated X-ray powder pattern of Pr5Y12Tm2. It was derived from a cell relaxed with PBE, using Cu Kα (λ = 1.5418 Å).
No peak broadening, texture or thermal motion is included.

Principal peaks in the range 10 to 80 degrees two-theta, in order of falling intensity:
(hkl)  2θ/deg  I_rel
0 2 2  29.90  100
6 0 -2  31.07  77
4 2 0  29.50  72
4 2 -1  27.89  64
3 3 -1  33.15  53
2 2 -2  28.21  47
5 1 1  35.76  42
3 1 -3  32.27  41
2 0 2  29.27  39
0 4 0  39.22  36

Cell and atoms:
Unit cell a=17.9089 b=9.1809 c=8.7466 alpha=90.00 beta=115.84 gamma=90.00
Space group C2/m (No. 12)
Inequivalent atoms, fractional coordinates:
1 Pr 0.0000 0.0000 0.0000 (multiplicity 2)
2 Pr 0.2109 0.5000 0.7230 (multiplicity 4)
3 Pr 0.2367 0.0000 0.7943 (multiplicity 4)
4 Y 0.0454 0.0000 0.6811 (multiplicity 4)
5 Y 0.0599 0.5000 0.2181 (multiplicity 4)
6 Y 0.1272 0.2770 0.9554 (multiplicity 8)
7 Y 0.1449 0.1851 0.4082 (multiplicity 8)
8 Tm 0.0000 0.3278 0.5000 (multiplicity 4)



Entry 8:
The following is a calculated X-ray powder pattern of Pr12Y7Tm. It was derived from a cell relaxed with PBE, using Cu Kα (λ = 1.5418 Å).
No peak broadening, texture or thermal motion is included.

Principal peaks in the range 10 to 80 degrees two-theta, in order of falling intensity:
(hkl)  2θ/deg  I_rel
4 -3 1  30.45  100
3 -1 4  31.63  53
3 1 2  32.05  52
0 3 3  30.16  34
2 5 0  53.06  28
0 1 5  29.57  28
2 0 5  32.97  23
2 -1 6  37.21  17
5 -4 6  52.27  16
0 2 4  28.09  16

Cell and atoms:
Unit cell a=12.4385 b=12.4385 c=15.7345 alpha=90.00 beta=90.00 gamma=120.00
Space group R-3 (No. 148, hexagonal axes)
Inequivalent atoms, fractional coordinates:
1 Pr 0.0206 0.4459 0.2187 (multiplicity 18)
2 Pr 0.0602 0.5920 0.5808 (multiplicity 18)
3 Y 0.0000 0.0000 0.0000 (multiplicity 3)
4 Y 0.0521 0.1859 0.3009 (multiplicity 18)
5 Tm 0.0000 0.0000 0.5000 (multiplicity 3)



Entry 9:
The following is a calculated X-ray powder pattern of Pr2Y2Tm3. It was derived from a cell relaxed with PBE, using Cu Kα (λ = 1.5418 Å).
No peak broadening, texture or thermal motion is included.

Principal peaks in the range 10 to 80 degrees two-theta, in order of falling intensity:
(hkl)  2θ/deg  I_rel
1 1 -2  33.24  100
0 1 0  25.00  86
1 0 3  28.85  73
2 1 -5  57.66  70
0 1 2  30.10  68
1 1 2  33.49  63
2 1 1  39.19  61
2 0 1  29.69  60
2 1 -1  38.98  58
0 0 4  33.37  50

Cell and atoms:
Unit cell a=6.3001 b=3.5625 c=10.7404 alpha=90.00 beta=90.94 gamma=90.00
Space group P2/m (No. 10)
Inequivalent atoms, fractional coordinates:
1 Pr 0.0080 0.0000 0.3114 (multiplicity 2)
2 Y 0.4927 0.5000 0.7723 (multiplicity 2)
3 Tm 0.2470 0.0000 0.0000 (multiplicity 2)
4 Tm 0.5000 0.0000 0.5000 (multiplicity 1)



Entry 10:
The following is a calculated X-ray powder pattern of Pr6Y3Tm2. It was derived from a cell relaxed with PBE, using Cu Kα (λ = 1.5418 Å).
No peak broadening, texture or thermal motion is included.

Principal peaks in the range 10 to 80 degrees two-theta, in order of falling intensity:
(hkl)  2θ/deg  I_rel
1 1 -3  31.77  100
0 2 -1  30.45  66
1 2 2  31.59  58
1 0 3  31.39  53
2 1 0  28.92  41
2 0 0  32.43  23
1 4 1  54.96  21
0 1 5  48.05  18
1 -2 4  54.60  15
2 3 -1  42.62  15

Cell and atoms:
Unit cell a=6.1755 b=6.8871 c=9.9272 alpha=89.26 beta=89.21 gamma=63.44
Space group P-1 (No. 2)
Inequivalent atoms, fractional coordinates:
1 Pr 0.1012 0.3930 0.3178 (multiplicity 2)
2 Pr 0.2103 0.2266 0.9508 (multiplicity 2)
3 Pr 0.2518 0.8557 0.2270 (multiplicity 2)
4 Y 0.3429 0.6821 0.8674 (multiplicity 2)
5 Y 0.5000 0.5000 0.5000 (multiplicity 1)
6 Tm 0.2665 0.0463 0.5994 (multiplicity 2)



Entry 11:
The following is a calculated X-ray powder pattern of Pr3Y6Tm2. It was derived from a cell relaxed with PBE, using Cu Kα (λ = 1.5418 Å).
No peak broadening, texture or thermal motion is included.

Principal peaks in the range 10 to 80 degrees two-theta, in order of falling intensity:
(hkl)  2θ/deg  I_rel
0 1 11  30.42  100
1 0 22  35.34  66
0 0 33  30.64  32
1 1 33  60.41  27
1 1 0  50.69  24
0 1 44  50.98  22
2 0 11  60.28  14
1 0 55  60.65  13
0 2 22  63.31  12
2 0 44  74.75  7

Cell and atoms:
Unit cell a=3.6016 b=3.6016 c=96.2950 alpha=90.00 beta=90.00 gamma=120.00
Space group R-3m (No. 166, hexagonal axes)
Inequivalent atoms, fractional coordinates:
1 Pr 0.0000 0.0000 0.0000 (multiplicity 3)
2 Pr 0.0000 0.0000 0.2719 (multiplicity 6)
3 Y 0.0000 0.0000 0.0924 (multiplicity 6)
4 Y 0.0000 0.0000 0.1818 (multiplicity 6)
5 Y 0.0000 0.0000 0.3640 (multiplicity 6)
6 Tm 0.0000 0.0000 0.4552 (multiplicity 6)



Entry 12:
The following is a calculated X-ray powder pattern of Pr4YTm4. It was derived from a cell relaxed with PBE, using Cu Kα (λ = 1.5418 Å).
No peak broadening, texture or thermal motion is included.

Principal peaks in the range 10 to 80 degrees two-theta, in order of falling intensity:
(hkl)  2θ/deg  I_rel
3 0 1  30.43  100
3 3 0  35.23  34
6 3 1  60.27  29
3 3 2  50.79  24
0 0 2  35.37  17
3 0 3  60.46  14
6 0 2  63.32  12
6 0 0  50.68  12
6 6 0  74.50  4
1 1 0  11.58  3

Cell and atoms:
Unit cell a=10.8075 b=10.8075 c=5.0751 alpha=90.00 beta=90.00 gamma=90.00
Space group I4/mmm (No. 139)
Inequivalent atoms, fractional coordinates:
1 Pr 0.1675 0.1675 0.0000 (multiplicity 8)
2 Y 0.0000 0.0000 0.5000 (multiplicity 2)
3 Tm 0.0000 0.3366 0.5000 (multiplicity 8)